For VH10S2N2O8, a structure optimized by DFT (GGA+U) gives the calculated powder diffraction line list in this record (Cu Kα X-rays).

Cell and atoms:
```
data_VH10S2N2O8
_cell_length_a 5.1879
_cell_length_b 13.2790
_cell_length_c 7.7157
_cell_angle_alpha 90.00
_cell_angle_beta 122.00
_cell_angle_gamma 90.00
_symmetry_space_group_name_H-M 'P 1 21/c 1'
_symmetry_Int_Tables_number 14
loop_
_symmetry_equiv_pos_as_xyz
'x,y,z'
'-x,-y,-z'
'-x,y+1/2,-z+1/2'
'x,-y+1/2,z+1/2'
loop_
_atom_site_label
_atom_site_fract_x
_atom_site_fract_y
_atom_site_fract_z
V1 0.0000 0.0000 0.0000
H1 0.1387 0.2102 0.2719
H2 0.1652 0.1891 0.6529
H3 0.2292 0.5929 0.8462
H4 0.3146 0.1805 0.9059
H5 0.4833 0.2417 0.3196
S1 0.2848 0.5572 0.2314
N1 0.2774 0.2293 0.7885
O1 0.0884 0.5900 0.3231
O2 0.2091 0.6377 0.0708
O3 0.2149 0.5889 0.7134
O4 0.3832 0.0851 0.0894
```

Principal peaks in the range 5° ≤ 2θ ≤ 70°, by angle:
2θ = 13.34°, I = 100, (0 2 0); 2θ = 15.09°, I = 63, (0 1 1); 2θ = 19.04°, I = 31, (0 2 1); 2θ = 24.27°, I = 29, (0 3 1); 2θ = 27.36°, I = 16, (1 2 -2); 2θ = 28.61°, I = 53, (1 3 0); 2θ = 30.19°, I = 18, (0 4 1); 2θ = 30.64°, I = 18, (1 1 1); 2θ = 31.31°, I = 37, (1 3 -2); 2θ = 36.20°, I = 16, (2 1 -1)